Li3Ta12O31: simulated powder X-ray diffraction pattern (λ = 1.5418 Å (Cu Kα)), based on DFT lattice parameters and positions (GGA-PBE).
Kinematic intensities with the Lorentz-polarization factor, no thermal factor.

a = 9.057 Å, b = 3.900 Å, c = 17.083 Å
α = 90.00°, β = 90.43°, γ = 90.00°
Positions (direct):
Li 0.000 0.000 0.000
Li 0.005 0.000 0.733
Li 0.090 0.000 0.492
Ta 0.103 0.500 0.360
Ta 0.239 0.500 0.672
Ta 0.243 0.500 0.056
Ta 0.357 0.500 0.865
Ta 0.442 0.500 0.483
Ta 0.455 0.500 0.248
Ta 0.644 0.500 0.747
Ta 0.649 0.500 0.984
Ta 0.742 0.500 0.367
Ta 0.852 0.500 0.557
Ta 0.867 0.500 0.171
Ta 0.991 0.500 0.865
O 0.043 0.500 0.105
O 0.047 0.500 0.615
O 0.103 0.000 0.371
O 0.163 0.500 0.789
O 0.165 0.500 0.942
O 0.210 0.000 0.679
O 0.219 0.000 0.053
O 0.235 0.500 0.453
O 0.253 0.500 0.282
O 0.344 0.000 0.866
O 0.381 0.500 0.592
O 0.387 0.500 0.142
O 0.421 0.500 0.747
O 0.424 0.500 0.984
O 0.454 0.000 0.482
O 0.507 0.500 0.363
O 0.585 0.500 0.865
O 0.642 0.000 0.745
O 0.644 0.000 0.984
O 0.667 0.500 0.245
O 0.672 0.500 0.482
O 0.712 0.500 0.638
O 0.718 0.500 0.092
O 0.741 0.000 0.363
O 0.858 0.500 0.777
O 0.859 0.500 0.953
O 0.876 0.000 0.178
O 0.886 0.000 0.551
O 0.927 0.500 0.290
O 0.929 0.500 0.440
O 0.994 0.000 0.866

Top 10 peaks for 2θ from 15° to 90°, low angle first:
hkl 0 1 0, 2θ 22.80, I 100; hkl 2 0 -3, 2θ 25.04, I 31; hkl 2 0 3, 2θ 25.22, I 28; hkl 1 0 -5, 2θ 27.84, I 17; hkl 1 0 5, 2θ 27.98, I 19; hkl 3 0 1, 2θ 30.06, I 23; hkl 1 1 4, 2θ 32.63, I 18; hkl 2 1 -3, 2θ 34.11, I 19; hkl 3 1 1, 2θ 38.06, I 18; hkl 0 2 0, 2θ 46.57, I 21